Simulated powder diffraction line list of Cs3O for λ = 1.5418 Å (Cu Kα), from a DFT-relaxed cell (GGA-PBE, Alexandria).
No peak broadening, texture or thermal motion is included.

Peak list (12 most intense, 10° ≤ 2θ ≤ 90°, by angle)
2θ/deg, d [Å], I_rel, (hkl)
11.5, 7.693, 88.4, 1 0 0
23.3, 3.825, 100.0, 1 1 1
23.6, 3.763, 33.7, 0 0 2
26.4, 3.380, 15.0, 1 0 2
31.2, 2.871, 14.8, 1 1 2
33.0, 2.712, 85.6, 2 1 1
39.2, 2.301, 17.2, 2 1 2
41.3, 2.184, 21.5, 1 1 3
47.3, 1.923, 18.1, 4 0 0
47.9, 1.899, 29.6, 2 1 3
53.3, 1.718, 20.3, 3 2 1
53.5, 1.713, 21.6, 4 0 2

Structure:
Cell: 8.8829 8.8829 7.5262 Å, 90.00 90.00 120.00°
Space group P6_3/mcm (No. 193)
Inequivalent atoms, fractional coordinates:
Cs: 0.0000 0.2477 0.2500 [6 per cell]
O: 0.0000 0.0000 0.0000 [2 per cell]

---

Simulated powder diffraction line list of CsO3 for λ = 1.5418 Å (Cu Kα), from a DFT-relaxed cell (GGA-PBE, Alexandria).
No peak broadening, texture or thermal motion is included.

Peak list (12 most intense, 10° ≤ 2θ ≤ 90°, by angle)
2θ/deg, d [Å], I_rel, (hkl)
19.2, 4.622, 51.6, 1 0 -2
20.5, 4.336, 90.9, 1 1 0
26.5, 3.361, 94.7, 0 1 2
27.5, 3.242, 62.2, 0 2 0
29.8, 2.995, 100.0, 2 1 -2
30.7, 2.917, 50.3, 2 0 0
33.7, 2.656, 71.0, 1 2 -2
35.9, 2.501, 19.8, 0 2 2
39.0, 2.311, 26.3, 2 0 -4
41.7, 2.168, 40.9, 2 2 0
48.4, 1.881, 31.1, 3 2 -2
48.9, 1.862, 23.2, 3 1 0

Structure:
Cell: 6.9424 6.4842 9.3565 Å, 90.00 122.85 90.00°
Space group P2_1/c (No. 14)
Inequivalent atoms, fractional coordinates:
Cs: 0.2312 0.2416 0.0863 [4 per cell]
O: 0.1035 0.5699 0.7975 [4 per cell]
O: 0.2771 0.7070 0.8927 [4 per cell]
O: 0.3104 0.7492 0.0484 [4 per cell]

---

Simulated powder diffraction line list of CsOs2O6 for λ = 1.5418 Å (Cu Kα), from a DFT-relaxed cell (GGA-PBE, Alexandria).
No peak broadening, texture or thermal motion is included.

Peak list (12 most intense, 10° ≤ 2θ ≤ 90°, by angle)
2θ/deg, d [Å], I_rel, (hkl)
14.9, 5.932, 29.7, 1 1 1
24.5, 3.633, 12.5, 2 2 0
28.8, 3.098, 100.0, 3 1 1
30.1, 2.966, 51.6, 2 2 2
45.9, 1.977, 34.0, 3 3 3
50.2, 1.816, 38.7, 4 4 0
58.9, 1.567, 14.7, 5 3 3
59.7, 1.549, 22.9, 6 2 2
70.4, 1.338, 24.3, 7 3 1
73.8, 1.284, 6.1, 8 0 0
81.0, 1.186, 10.9, 7 5 1
81.7, 1.179, 9.5, 6 6 2

Structure:
Cell: 10.2752 10.2752 10.2752 Å, 90.00 90.00 90.00°
Space group Fd-3m (No. 227, origin choice 2)
Inequivalent atoms, fractional coordinates:
Cs: 0.1250 0.1250 0.1250 [8 per cell]
Os: 0.0000 0.0000 0.5000 [16 per cell]
O: 0.0639 0.3750 0.8750 [48 per cell]